# 1
Diffraction record for GeCl4. The powder X-ray diffraction pattern is calculated, not measured: it uses a PBE-relaxed structure and Cu Kα (weighted mean of Kα1 and Kα2).
Peak positions follow from Bragg's law for the DFT cell and can differ from measured ones.

Main lines, in order of rising 2θ (2θ from 15° to 90°):
15.23 deg, I 100
16.52 deg, I 78
17.19 deg, I 75
17.30 deg, I 66
18.40 deg, I 58
20.75 deg, I 48
21.54 deg, I 30
24.90 deg, I 63
25.35 deg, I 33
26.90 deg, I 32
44.39 deg, I 42
48.64 deg, I 36

Structure:
Cell lengths 10.584, 7.028, 10.674 Å; angles 90.00, 102.83, 90.00 degrees
Fractional coordinates of all 20 atoms:
Ge1 0.248 0.073 0.359
Ge2 0.248 0.427 0.859
Ge3 0.752 0.573 0.141
Ge4 0.752 0.927 0.641
Cl1 0.083 0.071 0.202
Cl2 0.083 0.429 0.702
Cl3 0.201 0.568 0.020
Cl4 0.201 0.932 0.520
Cl5 0.303 0.140 0.910
Cl6 0.303 0.360 0.410
Cl7 0.405 0.571 0.804
Cl8 0.405 0.929 0.304
Cl9 0.595 0.071 0.696
Cl10 0.595 0.429 0.196
Cl11 0.697 0.640 0.590
Cl12 0.697 0.860 0.090
Cl13 0.799 0.068 0.480
Cl14 0.799 0.432 0.980
Cl15 0.917 0.571 0.298
Cl16 0.917 0.929 0.798

=====

# 2
Diffraction record for InGeCl3. The powder X-ray diffraction pattern is calculated, not measured: it uses a PBE-relaxed structure and Cu Kα (weighted mean of Kα1 and Kα2).
Peak positions follow from Bragg's law for the DFT cell and can differ from measured ones.

Main lines, in order of rising 2θ (2θ from 15° to 90°):
15.95 deg, I 84
22.54 deg, I 100
22.72 deg, I 57
26.59 deg, I 25
27.74 deg, I 27
32.22 deg, I 76
36.27 deg, I 79
39.57 deg, I 45
39.68 deg, I 55
49.20 deg, I 26
60.28 deg, I 25
62.31 deg, I 38

Structure:
Cell lengths 7.827, 7.827, 7.827 Å; angles 60.53, 60.53, 60.53 degrees
Fractional coordinates of all 10 atoms:
In1 0.000 0.000 0.000
In2 0.500 0.500 0.500
Ge1 0.303 0.303 0.303
Ge2 0.803 0.803 0.803
Cl1 0.097 0.422 0.599
Cl2 0.099 0.922 0.597
Cl3 0.422 0.599 0.097
Cl4 0.597 0.099 0.922
Cl5 0.599 0.097 0.422
Cl6 0.922 0.597 0.099

=====

Repeat the second record exactly.
Diffraction record for InGeCl3. The powder X-ray diffraction pattern is calculated, not measured: it uses a PBE-relaxed structure and Cu Kα (weighted mean of Kα1 and Kα2).
Peak positions follow from Bragg's law for the DFT cell and can differ from measured ones.

Main lines, in order of rising 2θ (2θ from 15° to 90°):
15.95 deg, I 84
22.54 deg, I 100
22.72 deg, I 57
26.59 deg, I 25
27.74 deg, I 27
32.22 deg, I 76
36.27 deg, I 79
39.57 deg, I 45
39.68 deg, I 55
49.20 deg, I 26
60.28 deg, I 25
62.31 deg, I 38

Structure:
Cell lengths 7.827, 7.827, 7.827 Å; angles 60.53, 60.53, 60.53 degrees
Fractional coordinates of all 10 atoms:
In1 0.000 0.000 0.000
In2 0.500 0.500 0.500
Ge1 0.303 0.303 0.303
Ge2 0.803 0.803 0.803
Cl1 0.097 0.422 0.599
Cl2 0.099 0.922 0.597
Cl3 0.422 0.599 0.097
Cl4 0.597 0.099 0.922
Cl5 0.599 0.097 0.422
Cl6 0.922 0.597 0.099

=====

- What is the formula in the first record?
  GeCl4